(1)
IrPd: theoretical X-ray diffraction stick pattern (copper Kα), based on a GGA-PBE-relaxed structure.
Lines closer than 0.1° are merged.

The 8 most intense peaks (10 to 80 degrees two-theta), by intensity:
40.02°, rel. 100
46.55°, rel. 49
67.95°, rel. 31
19.71°, rel. 10
38.25°, rel. 6
51.02°, rel. 3
61.79°, rel. 2
71.52°, rel. 2

Structural model:
Unit cell a=2.7595 b=2.7595 c=13.5108 alpha=90.00 beta=90.00 gamma=120.00
Space group R-3m (No. 166, hexagonal axes)
Asymmetric unit:
Ir1 0.0000 0.0000 0.0000 (multiplicity 3)
Pd1 0.0000 0.0000 0.5000 (multiplicity 3)



(2)
PmPrIr2: theoretical X-ray diffraction stick pattern (copper Kα), based on a GGA-PBE-relaxed structure.
Lines closer than 0.1° are merged.

The 7 most intense peaks (10 to 80 degrees two-theta), by intensity:
35.75°, rel. 100
64.23°, rel. 37
51.45°, rel. 18
75.74°, rel. 11
25.07°, rel. 2
58.06°, rel. 1
44.16°, rel. 1

Structural model:
Unit cell a=7.1044 b=7.1044 c=7.1044 alpha=90.00 beta=90.00 gamma=90.00
Space group Fm-3m (No. 225)
Asymmetric unit:
Pm1 0.0000 0.0000 0.0000 (multiplicity 4)
Pr1 0.0000 0.0000 0.5000 (multiplicity 4)
Ir1 0.2500 0.2500 0.2500 (multiplicity 8)



(3)
Pm2IrPt: theoretical X-ray diffraction stick pattern (copper Kα), based on a GGA-PBE-relaxed structure.
Lines closer than 0.1° are merged.

The 7 most intense peaks (10 to 80 degrees two-theta), by intensity:
35.70°, rel. 100
64.14°, rel. 37
51.38°, rel. 18
75.63°, rel. 11
25.04°, rel. 2
57.99°, rel. 1
44.10°, rel. 1

Structural model:
Unit cell a=7.1129 b=7.1129 c=7.1129 alpha=90.00 beta=90.00 gamma=90.00
Space group Fm-3m (No. 225)
Asymmetric unit:
Pm1 0.2500 0.2500 0.2500 (multiplicity 8)
Ir1 0.0000 0.0000 0.0000 (multiplicity 4)
Pt1 0.0000 0.0000 0.5000 (multiplicity 4)



(4)
Pm2IrRh: theoretical X-ray diffraction stick pattern (copper Kα), based on a GGA-PBE-relaxed structure.
Lines closer than 0.1° are merged.

The 8 most intense peaks (10 to 80 degrees two-theta), by intensity:
36.03°, rel. 100
64.78°, rel. 36
51.87°, rel. 18
76.42°, rel. 11
21.83°, rel. 4
42.53°, rel. 3
56.93°, rel. 1
69.25°, rel. 1

Structural model:
Unit cell a=7.0504 b=7.0504 c=7.0504 alpha=90.00 beta=90.00 gamma=90.00
Space group Fm-3m (No. 225)
Asymmetric unit:
Pm1 0.2500 0.2500 0.2500 (multiplicity 8)
Ir1 0.0000 0.0000 0.0000 (multiplicity 4)
Rh1 0.0000 0.0000 0.5000 (multiplicity 4)



(5)
Pm2IrRu: theoretical X-ray diffraction stick pattern (copper Kα), based on a GGA-PBE-relaxed structure.
Lines closer than 0.1° are merged.

The 8 most intense peaks (10 to 80 degrees two-theta), by intensity:
36.19°, rel. 100
65.10°, rel. 36
52.12°, rel. 18
76.81°, rel. 11
21.93°, rel. 5
42.72°, rel. 3
57.20°, rel. 1
69.59°, rel. 1

Structural model:
Unit cell a=7.0199 b=7.0199 c=7.0199 alpha=90.00 beta=90.00 gamma=90.00
Space group Fm-3m (No. 225)
Asymmetric unit:
Pm1 0.2500 0.2500 0.2500 (multiplicity 8)
Ir1 0.0000 0.0000 0.0000 (multiplicity 4)
Ru1 0.0000 0.0000 0.5000 (multiplicity 4)



(6)
PmYIr2: theoretical X-ray diffraction stick pattern (copper Kα), based on a GGA-PBE-relaxed structure.
Lines closer than 0.1° are merged.

The 9 most intense peaks (10 to 80 degrees two-theta), by intensity:
36.48°, rel. 100
65.66°, rel. 36
52.55°, rel. 18
77.51°, rel. 11
25.57°, rel. 6
59.33°, rel. 3
45.08°, rel. 2
22.10°, rel. 2
43.07°, rel. 1

Structural model:
Unit cell a=6.9663 b=6.9663 c=6.9663 alpha=90.00 beta=90.00 gamma=90.00
Space group Fm-3m (No. 225)
Asymmetric unit:
Pm1 0.0000 0.0000 0.0000 (multiplicity 4)
Y1 0.0000 0.0000 0.5000 (multiplicity 4)
Ir1 0.2500 0.2500 0.2500 (multiplicity 8)